Entry 1:
Diffraction record for MgTe2MoW2Se2S2. The powder diffractogram is theoretical, not measured: it uses a PBE-relaxed structure and Cu Kα (weighted mean of Kα1 and Kα2).
No peak broadening, texture or thermal motion is included.

The 12 most intense peaks (5 to 70 degrees two-theta), in order of rising 2θ:
d_spacing	Position (°2θ)	I_rel
9.405	9.40	100
7.524	11.76	12
2.893	30.91	18
2.768	32.35	14
2.629	34.10	16
2.549	35.20	15
2.466	36.44	7
2.295	39.26	18
2.210	40.83	29
1.896	47.99	7
1.672	54.93	13
1.646	55.85	7

Structural model:
Unit cell a=3.344 b=3.344 c=37.618 alpha=90.04 beta=90.04 gamma=60.01
Fractional positions:
Mg: 0.000 0.000 0.000
Te: 0.333 0.333 0.296
Te: 0.334 0.334 0.397
Mo: 0.333 0.333 0.120
W: 0.667 0.667 0.346
W: 0.667 0.667 0.875
Se: 0.666 0.666 0.075
Se: 0.667 0.667 0.164
S: 0.333 0.333 0.835
S: 0.334 0.334 0.916


Entry 2:
Diffraction record for MgTe2Mo3WSe4S2. The powder diffractogram is theoretical, not measured: it uses a PBE-relaxed structure and Cu Kα (weighted mean of Kα1 and Kα2).
No peak broadening, texture or thermal motion is included.

The 12 most intense peaks (5 to 70 degrees two-theta), in order of rising 2θ:
d_spacing	Position (°2θ)	I_rel
15.068	5.87	20
9.041	9.78	100
7.534	11.75	17
2.888	30.96	24
2.753	32.53	12
2.573	34.87	27
2.435	36.92	12
2.223	40.59	37
2.153	41.96	11
2.086	43.38	9
1.668	55.05	15
1.641	56.05	7

Structural model:
Unit cell a=3.337 b=3.337 c=45.205 alpha=90.00 beta=90.00 gamma=120.00
Fractional positions:
Mg: 0.000 0.000 0.000
Te: 0.333 0.667 0.241
Te: 0.333 0.667 0.325
Mo: 0.333 0.667 0.719
Mo: 0.667 0.333 0.283
Mo: 0.667 0.333 0.901
W: 0.333 0.667 0.103
Se: 0.333 0.667 0.864
Se: 0.333 0.667 0.938
Se: 0.667 0.333 0.682
Se: 0.667 0.333 0.756
S: 0.667 0.333 0.069
S: 0.667 0.333 0.136